(1)
Zn6CoAg: simulated X-ray powder pattern (Cu Kα (weighted mean of Kα1 and Kα2)), based on a GGA-PBE-relaxed structure.
Neutral-atom scattering factors, no anomalous dispersion.

Most intense lines, 2θ = 15–90°, by angle:
2θ 18.71, I 2.6
2θ 27.80, I 3.0
2θ 37.94, I 25.2
2θ 38.84, I 1.3
2θ 41.45, I 25.7
2θ 43.44, I 100.0
2θ 57.44, I 14.2
2θ 68.53, I 15.5
2θ 76.99, I 16.7
2θ 81.10, I 2.4
2θ 83.37, I 17.6
2θ 84.72, I 12.7

Cell and atoms:
```
Zn6CoAg
1.0
5.477 0.000 0.000
-2.739 4.743 0.000
0.000 0.000 4.357
Zn Co Ag
6 1 1
direct
0.170 0.341 0.000
0.170 0.830 0.000
0.507 0.014 0.500
0.507 0.493 0.500
0.659 0.830 0.000
0.986 0.493 0.500
0.667 0.333 0.000
0.000 0.000 0.500
```

***

(2)
Zn2CoAg5: simulated X-ray powder pattern (Cu Kα (weighted mean of Kα1 and Kα2)), based on a GGA-PBE-relaxed structure.
Neutral-atom scattering factors, no anomalous dispersion.

Most intense lines, 2θ = 15–90°, by angle:
2θ 36.31, I 12.5
2θ 36.48, I 24.3
2θ 38.93, I 40.3
2θ 41.38, I 50.1
2θ 41.53, I 100.0
2θ 54.41, I 14.5
2θ 65.43, I 15.8
2θ 72.17, I 9.6
2θ 72.28, I 17.8
2θ 78.83, I 18.2
2θ 79.14, I 9.1
2θ 80.75, I 12.9

Cell and atoms:
```
Zn2CoAg5
1.0
4.627 0.000 0.000
0.000 2.840 4.948
0.000 -2.840 4.948
Zn Co Ag
2 1 5
direct
0.000 0.000 0.000
0.500 0.340 0.340
0.000 0.495 0.495
0.000 0.004 0.496
0.000 0.496 0.004
0.500 0.333 0.824
0.500 0.824 0.333
0.500 0.834 0.834
```

***

(3)
Zn2Co3Ag3: simulated X-ray powder pattern (Cu Kα (weighted mean of Kα1 and Kα2)), based on a GGA-PBE-relaxed structure.
Neutral-atom scattering factors, no anomalous dispersion.

Most intense lines, 2θ = 15–90°, by angle:
2θ 27.52, I 9.8
2θ 36.99, I 12.6
2θ 37.77, I 27.2
2θ 41.54, I 39.8
2θ 42.62, I 54.9
2θ 43.32, I 100.0
2θ 57.39, I 15.1
2θ 67.17, I 18.9
2θ 76.53, I 8.8
2θ 77.02, I 16.5
2θ 82.15, I 17.5
2θ 84.32, I 12.6

Cell and atoms:
```
Zn2Co3Ag3
1.0
4.348 0.000 0.000
0.000 2.732 4.861
0.000 -2.732 4.861
Zn Co Ag
2 3 3
direct
0.000 0.000 0.000
0.500 0.331 0.331
0.000 0.547 0.985
0.000 0.985 0.547
0.500 0.835 0.835
0.000 0.495 0.495
0.500 0.340 0.849
0.500 0.849 0.340
```

***

(4)
CsAg: simulated X-ray powder pattern (Cu Kα (weighted mean of Kα1 and Kα2)), based on a GGA-PBE-relaxed structure.
Neutral-atom scattering factors, no anomalous dispersion.

Most intense lines, 2θ = 15–90°, by angle:
2θ 17.52, I 97.7
2θ 18.73, I 56.7
2θ 19.88, I 65.2
2θ 25.75, I 39.4
2θ 30.59, I 99.8
2θ 33.43, I 100.0
2θ 36.11, I 64.3
2θ 45.94, I 40.1
2θ 51.49, I 40.2
2θ 56.20, I 43.5
2θ 69.85, I 27.3
2θ 73.86, I 19.2

Cell and atoms:
```
CsAg
1.0
5.845 0.000 0.000
-2.923 5.062 0.000
0.000 0.000 9.477
Cs Ag
2 2
direct
0.333 0.667 0.000
0.667 0.333 0.500
0.333 0.667 0.624
0.667 0.333 0.124
```

***

Please write out number 1 again, unchanged.
Zn6CoAg: simulated X-ray powder pattern (Cu Kα (weighted mean of Kα1 and Kα2)), based on a GGA-PBE-relaxed structure.
Neutral-atom scattering factors, no anomalous dispersion.

Most intense lines, 2θ = 15–90°, by angle:
2θ 18.71, I 2.6
2θ 27.80, I 3.0
2θ 37.94, I 25.2
2θ 38.84, I 1.3
2θ 41.45, I 25.7
2θ 43.44, I 100.0
2θ 57.44, I 14.2
2θ 68.53, I 15.5
2θ 76.99, I 16.7
2θ 81.10, I 2.4
2θ 83.37, I 17.6
2θ 84.72, I 12.7

Cell and atoms:
```
Zn6CoAg
1.0
5.477 0.000 0.000
-2.739 4.743 0.000
0.000 0.000 4.357
Zn Co Ag
6 1 1
direct
0.170 0.341 0.000
0.170 0.830 0.000
0.507 0.014 0.500
0.507 0.493 0.500
0.659 0.830 0.000
0.986 0.493 0.500
0.667 0.333 0.000
0.000 0.000 0.500
```